# 1
Calculated powder XRD pattern of Tb14NdDy for Cu Ka, from a cell relaxed with GGA-PBE.
Lines closer than 0.1° are merged.

Most intense lines, 10° ≤ 2θ ≤ 80°, in order of rising 2θ:
hkl 1 0 4, 29.84°, d 2.994, rel. 42
hkl 4 0 0, 31.03°, d 2.882, rel. 34
hkl 2 2 2, 32.80°, d 2.731, rel. 100
hkl 3 0 4, 37.26°, d 2.413, rel. 23
hkl 0 4 0, 51.02°, d 1.790, rel. 26
hkl 6 2 2, 56.33°, d 1.633, rel. 22
hkl 4 4 0, 60.93°, d 1.521, rel. 30
hkl 2 0 8, 61.99°, d 1.497, rel. 16

Cell: 11.528 7.162 12.398 Å, 90.00 90.00 90.00°
Space group Amm2 (No. 38)
One atom of each set of equivalent atoms:
Tb  0.000  0.000  0.000 [2 per cell]
Tb  0.000  0.000  0.500 [2 per cell]
Tb  0.000  0.250  0.250 [4 per cell]
Tb  0.249  0.000  0.333 [4 per cell]
Tb  0.249  0.250  0.083 [8 per cell]
Tb  0.250  0.000  0.833 [4 per cell]
Tb  0.500  0.250  0.416 [4 per cell]
Nd  0.500  0.000  0.166 [2 per cell]
Dy  0.500  0.000  0.666 [2 per cell]

=====

# 2
Calculated powder XRD pattern of NdRhPb2 for Cu Ka, from a cell relaxed with GGA-PBE.
Lines closer than 0.1° are merged.

Most intense lines, 10° ≤ 2θ ≤ 80°, in order of rising 2θ:
hkl 5 0 1, 29.64°, d 3.014, rel. 37
hkl 2 0 2, 31.00°, d 2.885, rel. 73
hkl 4 2 0, 31.43°, d 2.846, rel. 100
hkl 3 2 1, 31.89°, d 2.806, rel. 55
hkl 2 1 2, 33.25°, d 2.694, rel. 65
hkl 6 0 1, 34.29°, d 2.615, rel. 37
hkl 7 0 1, 39.20°, d 2.298, rel. 35
hkl 2 2 2, 39.32°, d 2.291, rel. 72

Cell: 17.357 7.542 6.118 Å, 90.00 90.00 90.00°
Space group Pnma (No. 62)
One atom of each set of equivalent atoms:
Nd  0.108  0.250  0.243 [4 per cell]
Nd  0.144  0.750  0.474 [4 per cell]
Rh  0.080  0.750  0.034 [4 per cell]
Rh  0.165  0.250  0.700 [4 per cell]
Pb  0.034  0.037  0.747 [8 per cell]
Pb  0.215  0.540  0.978 [8 per cell]

=====

# 3
Calculated powder XRD pattern of Ac6IrRuRh for Cu Ka, from a cell relaxed with GGA-PBE.
Lines closer than 0.1° are merged.

Most intense lines, 10° ≤ 2θ ≤ 80°, in order of rising 2θ:
hkl 1 1 0, 17.75°, d 4.996, rel. 26
hkl 2 0 0, 25.21°, d 3.533, rel. 18
hkl 1 1 3, 26.84°, d 3.321, rel. 100
hkl 2 1 0, 28.24°, d 3.160, rel. 34
hkl 2 1 3, 34.83°, d 2.576, rel. 38
hkl 2 2 0, 35.95°, d 2.498, rel. 27
hkl 3 0 3, 43.48°, d 2.081, rel. 42
hkl 3 1 3, 45.43°, d 1.996, rel. 19

Cell: 7.066 7.066 13.336 Å, 90.00 90.00 90.00°
Space group P4_2nm (No. 102)
One atom of each set of equivalent atoms:
Ac  0.198  0.198  0.000 [4 per cell]
Ac  0.199  0.199  0.669 [4 per cell]
Ac  0.202  0.202  0.334 [4 per cell]
Ir  0.000  0.000  0.169 [2 per cell]
Ru  0.000  0.000  0.834 [2 per cell]
Rh  0.000  0.000  0.500 [2 per cell]

=====

# 4
Calculated powder XRD pattern of Na2PdPb6 for Cu Ka, from a cell relaxed with GGA-PBE.
Lines closer than 0.1° are merged.

Most intense lines, 10° ≤ 2θ ≤ 80°, in order of rising 2θ:
hkl 0 2 0, 11.41°, d 7.753, rel. 31
hkl 0 3 1, 19.84°, d 4.476, rel. 23
hkl 0 5 1, 30.47°, d 2.934, rel. 19
hkl 1 0 2, 31.37°, d 2.852, rel. 100
hkl 1 2 2, 33.48°, d 2.676, rel. 17
hkl 0 3 3, 34.76°, d 2.581, rel. 29
hkl 1 5 1, 39.19°, d 2.299, rel. 16
hkl 2 3 3, 61.66°, d 1.504, rel. 17

Cell: 3.700 15.544 8.929 Å, 90.00 90.00 90.00°
Space group Amm2 (No. 38)
One atom of each set of equivalent atoms:
Na  0.000  0.168  0.000 [4 per cell]
Pd  0.500  0.000  0.500 [2 per cell]
Pb  0.000  0.000  0.759 [2 per cell]
Pb  0.000  0.128  0.371 [4 per cell]
Pb  0.500  0.000  0.146 [2 per cell]
Pb  0.500  0.175  0.675 [4 per cell]